For AlCu2As, a crystal structure in OQMD, relaxed with PBE gives the computed powder diffractogram in this record (Cu Kα).
Neutral-atom scattering factors, no anomalous dispersion.

Structure:
```
data_AlCu2As
_chemical_formula_sum 'Al4 Cu8 As4'
_cell_length_a 6.1369
_cell_length_b 6.1369
_cell_length_c 6.1369
_cell_angle_alpha 90.00
_cell_angle_beta 90.00
_cell_angle_gamma 90.00
_space_group_name_H-M_alt 'P 1'
_space_group_IT_number 1
_space_group_name_Hall 'P 1'
loop_
_atom_site_label
_atom_site_fract_x
_atom_site_fract_y
_atom_site_fract_z
Al1 0.0000 0.0000 0.0000
Al2 0.0000 0.0000 0.5000
Al3 0.0000 0.5000 0.0000
Al4 0.5000 0.0000 0.0000
Cu1 0.2370 0.2370 0.2370
Cu2 0.2370 0.2370 0.7630
Cu3 0.2370 0.7630 0.2370
Cu4 0.2370 0.7630 0.7630
Cu5 0.7630 0.2370 0.2370
Cu6 0.7630 0.2370 0.7630
Cu7 0.7630 0.7630 0.2370
Cu8 0.7630 0.7630 0.7630
As1 0.0000 0.5000 0.5000
As2 0.5000 0.0000 0.5000
As3 0.5000 0.5000 0.0000
As4 0.5000 0.5000 0.5000
```

Peak list (6 most intense, 10 to 90 degrees two-theta, most intense first)
- 41.62 deg, rel. 100, (2 2 0)
- 75.96 deg, rel. 29, (4 2 2)
- 60.33 deg, rel. 15, (4 0 0)
- 32.63 deg, rel. 9, (2 1 0)
- 62.39 deg, rel. 4, (3 2 2)
- 44.28 deg, rel. 3, (3 0 0)